The following is a calculated powder diffractogram of Th2Co2Ru. It was derived from a crystal structure in Alexandria, relaxed with GGA-PBE, using Cu Kα.

Structure:
abc: 7.168 7.168 7.321
angles: 90.00 90.00 90.00
Space group P4/mnc (No. 128)
Unique sites:
Th 0.189 0.311 0.000 x8
Co 0.118 0.618 0.250 x8
Ru 0.000 0.000 0.250 x4

Principal peaks in the range 2θ = 10–90°, sorted by position:
| 2θ (°) | Rel. int. | h k l |
| --- | --- | --- |
| 24.84 | 21.3 | 2 0 0 |
| 27.83 | 31.6 | 2 1 0 |
| 35.04 | 81.8 | 2 0 2 |
| 35.42 | 23.5 | 2 2 0 |
| 37.29 | 100.0 | 2 1 2 |
| 39.77 | 29.4 | 3 1 0 |
| 49.82 | 18.1 | 0 0 4 |
| 52.65 | 25.4 | 4 1 0 |
| 58.80 | 31.9 | 4 1 2 |
| 75.41 | 17.9 | 4 1 4 |